Sr2CdCl2O2: computed powder XRD pattern (CuKα), based on the PBE geometry in Alexandria.

The 10 most intense peaks (10 to 80 degrees two-theta), by angle:
index	2theta	I_rel
0 0 2	11.7	53
1 0 3	26.9	29
1 1 0	28.9	80
1 0 5	36.0	100
2 0 0	41.3	42
2 1 3	50.0	11
2 1 5	55.9	53
2 2 0	59.8	13
3 1 0	67.7	13
3 0 5	71.8	14

Cell and atoms:
a b c (Å): 4.3757 4.3757 15.1684
angles (deg): 90.00 90.00 90.00
Space group I4/mmm (No. 139)
One atom of each set of equivalent atoms:
Sr 0.0000 0.0000 0.1086 x4
Cd 0.0000 0.0000 0.5000 x2
Cl 0.0000 0.0000 0.3120 x4
O 0.0000 0.5000 0.0000 x4

Cd2PCl2: computed powder XRD pattern (CuKα), based on the PBE geometry in Alexandria.

The 10 most intense peaks (10 to 80 degrees two-theta), by angle:
index	2theta	I_rel
0 2 1	23.3	100
1 2 0	23.5	75
0 0 2	25.2	79
2 0 0	26.2	64
2 1 -2	27.7	50
1 2 -2	29.5	99
2 2 -1	30.1	42
1 2 2	39.4	38
1 4 -1	41.8	37
1 4 1	45.9	38

Cell and atoms:
a b c (Å): 7.8394 9.0992 8.1204
angles (deg): 90.00 119.66 90.00
Space group P2_1/c (No. 14)
One atom of each set of equivalent atoms:
Cd 0.0319 0.2061 0.2112 x4
Cd 0.4307 0.5787 0.2314 x4
P 0.0657 0.6087 0.0546 x4
Cl 0.2423 0.5267 0.6950 x4
Cl 0.4222 0.1957 0.9223 x4